For Li3Pr2Sb3, a crystal structure in Alexandria, relaxed with GGA-PBE gives the calculated powder diffractogram in this record (Cu Kα).
Intensities are scaled so that the largest is 100.

abc: 3.2266 3.2266 23.5589
angles: 90.00 90.00 90.00
Space group P4/mmm (No. 123)
Inequivalent atoms, fractional coordinates:
Li: 0.0000 0.0000 0.0000
Li: 0.0000 0.0000 0.3834
Pr: 0.0000 0.0000 0.2451
Sb: 0.0000 0.0000 0.1129
Sb: 0.0000 0.0000 0.5000

Top 6 peaks for 15 to 90 degrees two-theta, in order of rising 2θ:
3.227 Å, 2θ = 27.65°, intensity 100, hkl 1 0 0
2.984 Å, 2θ = 29.94°, intensity 26, hkl 1 0 3
2.945 Å, 2θ = 30.35°, intensity 33, hkl 0 0 8
2.282 Å, 2θ = 39.50°, intensity 38, hkl 1 1 0
2.175 Å, 2θ = 41.52°, intensity 56, hkl 1 0 8
1.804 Å, 2θ = 50.61°, intensity 32, hkl 1 1 8

***

For SrLi2Pr2Sb2, a crystal structure in Alexandria, relaxed with GGA-PBE gives the calculated powder diffractogram in this record (Cu Kα).
Intensities are scaled so that the largest is 100.

abc: 4.8615 4.8615 29.1216
angles: 90.00 90.00 120.00
Space group R-3m (No. 166, hexagonal axes)
Inequivalent atoms, fractional coordinates:
Sr: 0.0000 0.0000 0.0000
Li: 0.0000 0.0000 0.4124
Pr: 0.0000 0.0000 0.1323
Sb: 0.0000 0.0000 0.2587

Top 6 peaks for 15 to 90 degrees two-theta, in order of rising 2θ:
4.167 Å, 2θ = 21.32°, intensity 59, hkl 1 0 1
2.959 Å, 2θ = 30.20°, intensity 73, hkl 1 0 7
2.754 Å, 2θ = 32.52°, intensity 100, hkl 0 1 8
2.431 Å, 2θ = 36.98°, intensity 85, hkl 1 1 0
1.822 Å, 2θ = 50.05°, intensity 29, hkl 2 0 8
1.517 Å, 2θ = 61.09°, intensity 30, hkl 1 1 15